Entry 1:
Structure and calculated X-ray powder pattern of Sb2Rh (a structure optimized by DFT (GGA-PBE); copper Kα).
Intensities are scaled so that the largest is 100.

Atomic structure:
abc: 6.708 6.653 6.787
angles: 90.00 116.37 90.00
Element x y z (fractional)
Sb  0.151  0.137  0.373
Sb  0.151  0.363  0.873
Sb  0.345  0.639  0.675
Sb  0.345  0.861  0.175
Sb  0.655  0.139  0.825
Sb  0.655  0.361  0.325
Sb  0.849  0.637  0.127
Sb  0.849  0.863  0.627
Rh  0.272  0.001  0.787
Rh  0.272  0.499  0.287
Rh  0.728  0.501  0.713
Rh  0.728  0.999  0.213

Peak list (10 most intense, 5° ≤ 2θ ≤ 70°, sorted by position)
2θ = 29.4°, I = 34; 2θ = 29.7°, I = 39; 2θ = 31.1°, I = 100; 2θ = 32.4°, I = 50; 2θ = 32.7°, I = 53; 2θ = 42.5°, I = 34; 2θ = 43.0°, I = 41; 2θ = 43.8°, I = 24; 2θ = 48.4°, I = 54; 2θ = 49.6°, I = 26

---

Entry 2:
Structure and calculated X-ray powder pattern of Mg14CdMo (a structure optimized by DFT (GGA-PBE); copper Kα).
Intensities are scaled so that the largest is 100.

Atomic structure:
abc: 6.304 6.304 9.962
angles: 90.00 90.00 120.00
Element x y z (fractional)
Mg  0.000  0.000  0.249
Mg  0.000  0.000  0.751
Mg  0.013  0.506  0.243
Mg  0.013  0.506  0.757
Mg  0.334  0.167  0.000
Mg  0.334  0.167  0.500
Mg  0.494  0.506  0.243
Mg  0.494  0.506  0.757
Mg  0.494  0.987  0.243
Mg  0.494  0.987  0.757
Mg  0.833  0.167  0.000
Mg  0.833  0.167  0.500
Mg  0.833  0.666  0.000
Mg  0.833  0.666  0.500
Cd  0.333  0.667  0.500
Mo  0.333  0.667  0.000

Peak list (10 most intense, 5° ≤ 2θ ≤ 70°, sorted by position)
2θ = 16.2°, I = 45; 2θ = 24.2°, I = 30; 2θ = 32.8°, I = 29; 2θ = 33.6°, I = 14; 2θ = 36.1°, I = 24; 2θ = 37.6°, I = 100; 2θ = 47.7°, I = 12; 2θ = 49.5°, I = 18; 2θ = 58.6°, I = 17; 2θ = 65.8°, I = 18